Calculated XRD peak list
Compound: ZnCu2Sn
Radiation: a wavelength of 1.5418 Å
Structure: a cell relaxed with GGA-PBE
Lines closer than 0.1° are merged.

Structural model:
Unit cell a=6.304 b=6.304 c=6.304 alpha=90.00 beta=90.00 gamma=90.00
Space group Pm-3m (No. 221)
Asymmetric unit:
Zn: 0.000 0.000 0.000 x1
Zn: 0.000 0.000 0.500 x3
Cu: 0.226 0.226 0.226 x8
Sn: 0.000 0.500 0.500 x3
Sn: 0.500 0.500 0.500 x1

Largest 10 diffraction maxima, by angle, 2θ = 10–90°:
d/Å  two_theta  Rel. int.  h k l
3.152  28.3  5  2 0 0
2.819  31.7  8  2 1 0
2.229  40.5  100  2 2 0
2.101  43.0  3  3 0 0
1.576  58.6  15  4 0 0
1.529  60.6  4  3 2 2
1.410  66.3  4  4 2 0
1.287  73.6  28  4 2 2
1.171  82.4  3  5 2 0
1.114  87.5  9  4 4 0

Calculated XRD peak list
Compound: DyHo2Fe6Co3
Radiation: a wavelength of 1.5418 Å
Structure: a cell relaxed with GGA-PBE
Lines closer than 0.1° are merged.

Structural model:
Unit cell a=5.0336 b=5.0336 c=24.2579 alpha=90.00 beta=90.00 gamma=120.00
Space group R-3m (No. 166, hexagonal axes)
Asymmetric unit:
Dy: 0.0000 0.0000 0.0000 x3
Ho: 0.0000 0.0000 0.1421 x6
Fe: 0.9998 0.4999 0.0819 x18
Co: 0.0000 0.0000 0.3325 x6
Co: 0.0000 0.0000 0.5000 x3

Largest 10 diffraction maxima, by angle, 2θ = 10–90°:
d/Å  two_theta  Rel. int.  h k l
4.291  20.7  13  1 0 1
2.713  33.0  51  1 0 7
2.517  35.7  57  1 1 0
2.489  36.1  34  0 1 8
2.171  41.6  36  0 2 1
2.137  42.3  100  1 1 6
1.488  62.4  16  2 1 7
1.367  68.6  23  3 0 6
1.356  69.3  13  2 0 14
1.258  75.6  20  2 2 0

Calculated XRD peak list
Compound: Sm2IBrNCl
Radiation: a wavelength of 1.5418 Å
Structure: a cell relaxed with GGA-PBE
Lines closer than 0.1° are merged.

Structural model:
Unit cell a=17.503 b=4.033 c=11.470 alpha=90.00 beta=120.77 gamma=90.00
Space group C2/m (No. 12)
Asymmetric unit:
Sm: 0.082 0.000 0.459 x4
Sm: 0.130 0.500 0.778 x4
I: 0.157 0.000 0.023 x4
Br: 0.052 0.500 0.251 x4
N: 0.071 0.000 0.651 x4
Cl: 0.206 0.500 0.606 x4

Largest 10 diffraction maxima, by angle, 2θ = 10–90°:
d/Å  two_theta  Rel. int.  h k l
8.399  10.5  100  2 0 -1
3.760  23.7  38  4 0 0
3.469  25.7  37  1 1 1
3.275  27.2  92  1 1 -2
2.876  31.1  63  1 1 2
2.828  31.6  42  4 0 -4
2.795  32.0  52  6 0 -1
2.634  34.0  35  5 1 -2
2.148  42.1  36  5 1 1
2.104  43.0  37  7 1 -3

Calculated XRD peak list
Compound: LiBiPt2O4
Radiation: a wavelength of 1.5418 Å
Structure: a cell relaxed with GGA-PBE
Lines closer than 0.1° are merged.

Structural model:
Unit cell a=6.926 b=6.926 c=4.338 alpha=90.00 beta=90.00 gamma=90.00
Space group P4/nmm (No. 129, origin choice 2)
Asymmetric unit:
Li: 0.250 0.750 0.000 x2
Bi: 0.250 0.250 0.051 x2
Pt: 0.000 0.000 0.500 x4
O: 0.024 0.750 0.255 x8

Largest 10 diffraction maxima, by angle, 2θ = 10–90°:
d/Å  two_theta  Rel. int.  h k l
4.898  18.1  22  1 1 0
3.247  27.5  17  1 1 1
2.706  33.1  100  2 0 1
2.449  36.7  32  2 2 0
2.169  41.6  10  0 0 2
1.732  52.9  17  4 0 0
1.624  56.7  24  2 2 2
1.459  63.8  31  4 2 1
1.353  69.5  9  4 0 2
1.334  70.6  9  2 0 3

Calculated XRD peak list
Compound: LaPr3Se3O4
Radiation: a wavelength of 1.5418 Å
Structure: a cell relaxed with GGA-PBE
Lines closer than 0.1° are merged.

Structural model:
Unit cell a=8.491 b=4.053 c=13.094 alpha=90.00 beta=90.00 gamma=90.00
Space group Amm2 (No. 38)
Asymmetric unit:
La: 0.000 0.000 0.000 x2
Pr: 0.238 0.000 0.685 x4
Pr: 0.500 0.000 0.017 x2
Se: 0.000 0.000 0.311 x2
Se: 0.351 0.000 0.357 x4
O: 0.000 0.000 0.588 x2
O: 0.245 0.000 0.089 x4
O: 0.500 0.000 0.616 x2

Largest 10 diffraction maxima, by angle, 2θ = 10–90°:
d/Å  two_theta  Rel. int.  h k l
3.562  25.0  53  2 0 2
2.970  30.1  100  0 1 3
2.861  31.3  54  2 1 1
2.594  34.6  38  2 0 4
2.027  44.7  20  0 2 0
1.953  46.5  23  2 1 5
1.761  51.9  15  2 2 2
1.727  53.0  16  4 1 3
1.597  57.7  17  2 2 4
1.577  58.5  15  2 1 7

Calculated XRD peak list
Compound: Sm2Ni7
Radiation: a wavelength of 1.5418 Å
Structure: a cell relaxed with GGA-PBE
Lines closer than 0.1° are merged.

Structural model:
Unit cell a=4.9666 b=4.9666 c=24.2780 alpha=90.00 beta=90.00 gamma=120.00
Space group P6_3/mmc (No. 194)
Asymmetric unit:
Sm: 0.3333 0.6667 0.0297 x4
Sm: 0.3333 0.6667 0.1743 x4
Ni: 0.0000 0.0000 0.0000 x2
Ni: 0.0000 0.0000 0.1685 x4
Ni: 0.1669 0.3337 0.5867 x12
Ni: 0.1668 0.3336 0.7500 x6
Ni: 0.3333 0.6667 0.6679 x4

Largest 10 diffraction maxima, by angle, 2θ = 10–90°:
d/Å  two_theta  Rel. int.  h k l
2.700  33.2  64  1 0 7
2.483  36.2  51  1 1 0
2.142  42.2  32  2 0 1
2.116  42.7  100  1 1 6
2.023  44.8  15  0 0 12
1.966  46.2  23  2 0 5
1.472  63.2  21  2 1 7
1.410  66.3  16  2 0 13
1.351  69.6  25  3 0 6
1.242  76.8  21  2 2 0

Calculated XRD peak list
Compound: LiPrCdSe3
Radiation: a wavelength of 1.5418 Å
Structure: a cell relaxed with GGA-PBE
Lines closer than 0.1° are merged.

Structural model:
Unit cell a=11.616 b=4.259 c=13.624 alpha=90.00 beta=90.00 gamma=90.00
Space group Pnma (No. 62)
Asymmetric unit:
Li: 0.125 0.250 0.024 x4
Pr: 0.029 0.250 0.743 x4
Cd: 0.218 0.250 0.295 x4
Se: 0.026 0.250 0.392 x4
Se: 0.089 0.750 0.901 x4
Se: 0.220 0.750 0.169 x4

Largest 10 diffraction maxima, by angle, 2θ = 10–90°:
d/Å  two_theta  Rel. int.  h k l
6.812  13.0  100  0 0 2
3.837  23.2  25  1 1 1
3.107  28.7  27  0 1 3
3.001  29.8  37  1 1 3
2.840  31.5  23  4 0 1
2.739  32.7  74  2 1 3
2.671  33.5  17  4 0 2
2.135  42.3  21  2 1 5
2.129  42.5  25  0 2 0
1.974  46.0  18  3 1 5

Calculated XRD peak list
Compound: Sm2Ta2MoN6
Radiation: a wavelength of 1.5418 Å
Structure: a cell relaxed with GGA-PBE
Lines closer than 0.1° are merged.

Structural model:
Unit cell a=3.988 b=3.988 c=18.257 alpha=90.00 beta=90.00 gamma=90.00
Space group I4/mmm (No. 139)
Asymmetric unit:
Sm: 0.000 0.000 0.175 x4
Ta: 0.000 0.000 0.410 x4
Mo: 0.000 0.000 0.000 x2
N: 0.000 0.000 0.304 x4
N: 0.000 0.500 0.074 x8

Largest 10 diffraction maxima, by angle, 2θ = 10–90°:
d/Å  two_theta  Rel. int.  h k l
4.564  19.4  12  0 0 4
2.820  31.7  77  1 1 0
2.693  33.3  100  1 0 5
2.183  41.4  24  1 0 7
1.994  45.5  37  2 0 0
1.603  57.5  43  2 1 5
1.472  63.1  13  2 1 7
1.410  66.3  12  2 2 0
1.339  70.3  16  1 1 12
1.261  75.4  13  3 1 0